Entry 1:
Theoretical X-ray powder pattern of Ca3In3N5 for Cu Kα X-rays, from a DFT-relaxed cell (GGA-PBE, Alexandria).
Lines closer than 0.1° are merged.

Structural model:
```
data_Ca3In3N5
_space_group_name_H-M_alt 'P -1'
_space_group_IT_number 2
_space_group_name_Hall '-P 1'
_cell_length_a 6.5189
_cell_length_b 7.2167
_cell_length_c 8.8992
_cell_angle_alpha 104.74
_cell_angle_beta 111.06
_cell_angle_gamma 93.90
loop_
_atom_site_label
_atom_site_type_symbol
_atom_site_fract_x
_atom_site_fract_y
_atom_site_fract_z
_atom_site_occupancy
Ca1 Ca 0.1113 0.1043 0.1965 1
Ca2 Ca 0.1843 0.3616 0.8939 1
Ca3 Ca 0.3173 0.9268 0.5927 1
In1 In 0.2252 0.4405 0.5623 1
In2 In 0.3282 0.6513 0.2739 1
In3 In 0.3908 0.8056 0.9635 1
N1 N 0.0896 0.6155 0.3934 1
N2 N 0.1416 0.7618 0.0658 1
N3 N 0.2647 0.0331 0.8477 1
N4 N 0.3726 0.1888 0.4839 1
N5 N 0.4782 0.5515 0.8213 1
```

Top 6 peaks for 2θ from 15° to 90°, by angle:
2theta  I_rel  h k l
19.47  65  0 1 1
30.38  78  2 -1 0
30.53  99  1 2 -2
31.23  100  1 0 -3
31.33  93  0 2 1
40.36  52  1 -1 3



Entry 2:
Theoretical X-ray powder pattern of V2S5 for Cu Kα X-rays, from a DFT-relaxed cell (GGA-PBE, Alexandria).
Lines closer than 0.1° are merged.

Structural model:
```
data_V2S5
_space_group_name_H-M_alt 'P m m n'
_space_group_IT_number 59
_cell_length_a 4.3183
_cell_length_b 13.9238
_cell_length_c 6.4714
_cell_angle_alpha 90.00
_cell_angle_beta 90.00
_cell_angle_gamma 90.00
loop_
_space_group_symop_operation_xyz
'x,y,z'
'-x,-y,-z'
'-x+1/2,-y+1/2,z'
'x+1/2,y+1/2,-z'
'x+1/2,-y,-z'
'-x+1/2,y,z'
'-x,y+1/2,-z'
'x,-y+1/2,z'
loop_
_atom_site_label
_atom_site_type_symbol
_atom_site_fract_x
_atom_site_fract_y
_atom_site_fract_z
_atom_site_occupancy
V1 V 0.2500 0.1019 0.1006 1
S1 S 0.2500 0.1123 0.4115 1
S2 S 0.2500 0.2500 0.9638 1
S3 S 0.2500 0.5685 0.0219 1
```

Top 6 peaks for 2θ from 15° to 90°, by angle:
2theta  I_rel  h k l
15.10  44  0 1 1
21.55  100  1 1 0
23.59  47  0 3 1
24.79  54  1 0 1
27.57  52  0 0 2
41.84  47  2 0 0



Entry 3:
Theoretical X-ray powder pattern of PmAu2I6 for Cu Kα X-rays, from a DFT-relaxed cell (GGA-PBE, Alexandria).
Lines closer than 0.1° are merged.

Structural model:
```
data_PmAu2I6
_space_group_name_H-M_alt 'R 3'
_space_group_IT_number 146
_space_group_name_Hall 'R 3'
_cell_length_a 7.5000
_cell_length_b 7.5000
_cell_length_c 24.3532
_cell_angle_alpha 90.00
_cell_angle_beta 90.00
_cell_angle_gamma 120.00
loop_
_atom_site_label
_atom_site_type_symbol
_atom_site_fract_x
_atom_site_fract_y
_atom_site_fract_z
_atom_site_occupancy
Pm1 Pm 0.0000 0.0000 0.0000 1
Au1 Au 0.0000 0.0000 0.2694 1
Au2 Au 0.0000 0.0000 0.3971 1
I1 I 0.0046 0.3596 0.4132 1
I2 I 0.0049 0.6451 0.2535 1
```

Top 6 peaks for 2θ from 15° to 90°, by angle:
2theta  I_rel  h k l
21.90  43  0 0 6
26.18  100  2 -1 3
32.49  19  0 1 8
41.14  31  2 -1 9
41.72  47  3 0 0
47.60  40  3 0 6